No. 1
Calculated X-ray powder pattern
Compound: RbNa
Radiation: CuKα
Structure: a structure optimized by DFT (PBE)

Top 12 peaks for 10° ≤ 2θ ≤ 90°, in order of falling intensity:
2θ (°)  Rel. int.
26.30  100
24.88  87
21.65  86
24.54  79
22.31  57
15.98  44
25.15  41
37.60  34
28.79  30
29.58  28
31.56  25
24.19  25

Cell and atoms:
Cell lengths 7.723, 10.578, 12.116 Å; angles 90.00, 90.00, 90.00 degrees
Positions (direct):
Rb1 0.118 0.069 0.084
Rb2 0.119 0.264 0.759
Rb3 0.381 0.736 0.259
Rb4 0.382 0.931 0.584
Rb5 0.618 0.431 0.916
Rb6 0.619 0.236 0.241
Rb7 0.881 0.764 0.741
Rb8 0.882 0.569 0.416
Na1 0.104 0.468 0.091
Na2 0.171 0.259 0.410
Na3 0.329 0.741 0.910
Na4 0.396 0.532 0.591
Na5 0.604 0.032 0.909
Na6 0.671 0.241 0.590
Na7 0.829 0.759 0.090
Na8 0.896 0.968 0.409

---

No. 2
Calculated X-ray powder pattern
Compound: Rb6Na5
Radiation: CuKα
Structure: a structure optimized by DFT (PBE)

Top 12 peaks for 10° ≤ 2θ ≤ 90°, in order of falling intensity:
2θ (°)  Rel. int.
25.45  100
25.52  49
17.89  44
44.85  40
31.34  22
18.03  22
45.03  20
36.24  19
40.75  16
52.41  12
40.96  11
36.53  9

Cell and atoms:
Cell lengths 12.084, 12.084, 6.977 Å; angles 106.44, 106.44, 48.49 degrees
Positions (direct):
Rb1 0.082 0.596 0.339
Rb2 0.241 0.759 0.000
Rb3 0.404 0.918 0.661
Rb4 0.596 0.082 0.339
Rb5 0.759 0.241 0.000
Rb6 0.918 0.404 0.661
Na1 0.181 0.181 0.181
Na2 0.332 0.332 0.832
Na3 0.500 0.500 0.500
Na4 0.668 0.668 0.168
Na5 0.819 0.819 0.819

---

No. 3
Calculated X-ray powder pattern
Compound: Rb6Na
Radiation: CuKα
Structure: a structure optimized by DFT (PBE)

Top 12 peaks for 10° ≤ 2θ ≤ 90°, in order of falling intensity:
2θ (°)  Rel. int.
23.43  100
23.63  49
41.43  43
14.33  23
41.07  22
33.66  20
54.45  19
47.93  14
64.83  11
65.26  11
65.52  11
33.09  10

Cell and atoms:
Cell lengths 7.530, 7.530, 10.827 Å; angles 90.00, 90.00, 90.00 degrees
Positions (direct):
Rb1 0.000 0.000 0.000
Rb2 0.000 0.500 0.248
Rb3 0.000 0.500 0.752
Rb4 0.500 0.000 0.248
Rb5 0.500 0.000 0.752
Rb6 0.500 0.500 0.500
Na1 0.500 0.500 0.000

---

No. 4
Calculated X-ray powder pattern
Compound: RbNa
Radiation: CuKα
Structure: a structure optimized by DFT (PBE)

Top 12 peaks for 10° ≤ 2θ ≤ 90°, in order of falling intensity:
2θ (°)  Rel. int.
24.58  100
24.69  83
16.90  58
27.41  49
25.20  34
18.56  31
49.55  27
32.21  25
29.23  25
41.57  24
16.45  20
32.37  18

Cell and atoms:
Cell lengths 12.228, 11.172, 7.362 Å; angles 79.67, 64.00, 36.32 degrees
Positions (direct):
Rb1 0.041 0.709 0.041
Rb2 0.291 0.959 0.291
Rb3 0.709 0.041 0.709
Rb4 0.959 0.291 0.959
Na1 0.293 0.293 0.457
Na2 0.457 0.457 0.293
Na3 0.543 0.543 0.707
Na4 0.707 0.707 0.543

---

No. 5
Calculated X-ray powder pattern
Compound: Rb7Na4
Radiation: CuKα
Structure: a structure optimized by DFT (PBE)

Top 12 peaks for 10° ≤ 2θ ≤ 90°, in order of falling intensity:
2θ (°)  Rel. int.
21.94  100
26.11  23
30.77  20
23.38  19
40.79  18
17.62  17
26.83  16
43.66  16
41.27  14
35.33  13
38.11  11
63.84  10

Cell and atoms:
Cell lengths 11.623, 11.623, 6.825 Å; angles 90.00, 90.00, 120.00 degrees
Positions (direct):
Rb1 0.000 0.000 0.000
Rb2 0.063 0.531 0.000
Rb3 0.373 0.186 0.500
Rb4 0.469 0.531 0.000
Rb5 0.469 0.937 0.000
Rb6 0.814 0.186 0.500
Rb7 0.814 0.627 0.500
Na1 0.228 0.456 0.500
Na2 0.228 0.772 0.500
Na3 0.544 0.772 0.500
Na4 0.667 0.333 0.000

---

No. 6
Calculated X-ray powder pattern
Compound: Rb3Na4
Radiation: CuKα
Structure: a structure optimized by DFT (PBE)

Top 12 peaks for 10° ≤ 2θ ≤ 90°, in order of falling intensity:
2θ (°)  Rel. int.
24.35  100
24.91  64
26.65  54
16.90  53
37.73  42
47.22  39
27.88  33
46.33  17
47.98  14
38.23  14
35.27  13
19.39  12

Cell and atoms:
Cell lengths 4.708, 6.400, 27.464 Å; angles 90.00, 90.00, 90.00 degrees
Positions (direct):
Rb1 0.000 0.000 0.000
Rb2 0.000 0.500 0.197
Rb3 0.000 0.500 0.803
Rb4 0.500 0.000 0.303
Rb5 0.500 0.000 0.697
Rb6 0.500 0.500 0.500
Na1 0.000 0.000 0.434
Na2 0.000 0.000 0.566
Na3 0.000 0.500 0.365
Na4 0.000 0.500 0.635
Na5 0.500 0.000 0.135
Na6 0.500 0.000 0.865
Na7 0.500 0.500 0.066
Na8 0.500 0.500 0.934

---

No. 7
Calculated X-ray powder pattern
Compound: Rb6Na5
Radiation: CuKα
Structure: a structure optimized by DFT (PBE)

Top 12 peaks for 10° ≤ 2θ ≤ 90°, in order of falling intensity:
2θ (°)  Rel. int.
20.82  100
25.09  57
22.44  54
24.32  50
26.00  46
26.50  41
14.44  31
42.37  26
31.31  23
29.01  22
27.09  21
46.34  17

Cell and atoms:
Cell lengths 10.431, 10.431, 7.179 Å; angles 104.79, 104.79, 100.26 degrees
Positions (direct):
Rb1 0.023 0.353 0.188
Rb2 0.190 0.190 0.689
Rb3 0.353 0.023 0.188
Rb4 0.647 0.977 0.812
Rb5 0.810 0.810 0.311
Rb6 0.977 0.647 0.812
Na1 0.263 0.737 0.500
Na2 0.387 0.613 0.000
Na3 0.500 0.500 0.500
Na4 0.613 0.387 0.000
Na5 0.737 0.263 0.500

---

No. 8
Calculated X-ray powder pattern
Compound: RbNa
Radiation: CuKα
Structure: a structure optimized by DFT (PBE)

Top 12 peaks for 10° ≤ 2θ ≤ 90°, in order of falling intensity:
2θ (°)  Rel. int.
25.01  100
26.09  63
18.37  50
25.11  33
16.87  25
45.46  24
37.23  23
45.32  22
41.81  14
31.16  13
31.30  12
34.12  12

Cell and atoms:
Cell lengths 7.117, 4.828, 7.164 Å; angles 90.00, 94.80, 90.00 degrees
Positions (direct):
Rb1 0.227 0.000 0.277
Rb2 0.773 0.000 0.723
Na1 0.287 0.500 0.795
Na2 0.713 0.500 0.205

---

No. 9
Calculated X-ray powder pattern
Compound: Rb3Na11
Radiation: CuKα
Structure: a structure optimized by DFT (PBE)

Top 12 peaks for 10° ≤ 2θ ≤ 90°, in order of falling intensity:
2θ (°)  Rel. int.
25.37  100
25.54  52
29.93  43
21.23  40
25.69  40
16.36  39
24.49  25
26.08  25
16.60  25
39.85  24
27.51  22
50.48  22

Cell and atoms:
Cell lengths 11.312, 11.312, 11.312 Å; angles 149.40, 110.52, 77.80 degrees
Positions (direct):
Rb1 0.000 0.000 0.000
Rb2 0.301 0.301 0.000
Rb3 0.699 0.699 0.000
Na1 0.025 0.672 0.354
Na2 0.158 0.875 0.283
Na3 0.309 0.500 0.809
Na4 0.318 0.672 0.646
Na5 0.408 0.125 0.283
Na6 0.500 0.000 0.500
Na7 0.592 0.875 0.717
Na8 0.682 0.328 0.354
Na9 0.691 0.500 0.191
Na10 0.842 0.125 0.717
Na11 0.975 0.328 0.646

---

No. 10
Calculated X-ray powder pattern
Compound: Rb5Na4
Radiation: CuKα
Structure: a structure optimized by DFT (PBE)

Top 12 peaks for 10° ≤ 2θ ≤ 90°, in order of falling intensity:
2θ (°)  Rel. int.
22.51  100
24.04  37
27.51  25
20.10  24
36.03  19
26.37  18
45.77  15
36.68  15
15.11  14
22.78  14
40.87  13
34.31  12

Cell and atoms:
Cell lengths 8.150, 8.150, 13.586 Å; angles 111.43, 111.43, 46.88 degrees
Positions (direct):
Rb1 0.000 0.000 0.000
Rb2 0.108 0.108 0.398
Rb3 0.247 0.247 0.830
Rb4 0.753 0.753 0.170
Rb5 0.892 0.892 0.602
Na1 0.388 0.388 0.389
Na2 0.456 0.456 0.170
Na3 0.544 0.544 0.830
Na4 0.612 0.612 0.611

---

No. 11
Calculated X-ray powder pattern
Compound: Rb4Na
Radiation: CuKα
Structure: a structure optimized by DFT (PBE)

Top 12 peaks for 10° ≤ 2θ ≤ 90°, in order of falling intensity:
2θ (°)  Rel. int.
22.55  100
21.77  84
22.31  39
38.83  27
42.07  26
23.54  24
39.30  24
38.03  19
25.04  16
45.40  16
56.46  16
35.19  15

Cell and atoms:
Cell lengths 12.030, 12.030, 12.030 Å; angles 132.07, 63.21, 141.32 degrees
Positions (direct):
Rb1 0.084 0.656 0.740
Rb2 0.180 0.151 0.331
Rb3 0.320 0.651 0.971
Rb4 0.416 0.156 0.572
Rb5 0.584 0.844 0.428
Rb6 0.680 0.349 0.029
Rb7 0.820 0.849 0.669
Rb8 0.916 0.344 0.260
Na1 0.250 0.250 0.000
Na2 0.750 0.750 0.000

---

No. 12
Calculated X-ray powder pattern
Compound: RbNa
Radiation: CuKα
Structure: a structure optimized by DFT (PBE)

Top 12 peaks for 10° ≤ 2θ ≤ 90°, in order of falling intensity:
2θ (°)  Rel. int.
25.37  100
25.72  97
25.11  95
19.34  50
22.27  34
22.87  31
36.63  27
45.28  26
44.22  21
44.88  21
37.07  20
14.13  19

Cell and atoms:
Cell lengths 4.850, 7.085, 8.217 Å; angles 113.97, 107.06, 90.06 degrees
Positions (direct):
Rb1 0.107 0.354 0.212
Rb2 0.893 0.646 0.788
Na1 0.343 0.095 0.686
Na2 0.657 0.905 0.314